No. 1
Li4FeSi2O8: theoretical powder XRD pattern (Cu Kα (λ = 1.5418 Å)), based on a structure optimized by DFT (GGA+U).

The 12 most intense peaks (10 to 90 degrees two-theta), in order of rising 2θ:
14.5 deg, intensity 265, hkl 0 0 1
16.6 deg, intensity 675, hkl 0 1 0
20.6 deg, intensity 1000, hkl 0 1 -1
24.2 deg, intensity 519, hkl 1 0 1
26.8 deg, intensity 145, hkl 1 1 0
32.1 deg, intensity 275, hkl 1 1 1
34.0 deg, intensity 178, hkl 1 0 -2
35.7 deg, intensity 199, hkl 1 0 2
35.9 deg, intensity 215, hkl 1 -2 0
37.6 deg, intensity 268, hkl 1 1 -2
60.7 deg, intensity 206, hkl 2 -3 1
63.8 deg, intensity 148, hkl 0 3 2

```
data_Li4FeSi2O8
_cell_length_a 4.8544
_cell_length_b 5.4437
_cell_length_c 6.1563
_cell_angle_alpha 97.00
_cell_angle_beta 91.96
_cell_angle_gamma 98.39
_symmetry_space_group_name_H-M 'P -1'
_symmetry_Int_Tables_number 2
loop_
_symmetry_equiv_pos_as_xyz
'x,y,z'
'-x,-y,-z'
loop_
_atom_site_label
_atom_site_type_symbol
_atom_site_fract_x
_atom_site_fract_y
_atom_site_fract_z
_atom_site_occupancy
Li1 Li 0.1664 0.2965 0.0267 1
Li2 Li 0.2241 0.5312 0.6862 1
Fe1 Fe 0.0000 0.0000 0.5000 1
Si1 Si 0.3578 0.8241 0.2260 1
O1 O 0.1758 0.7043 0.4291 1
O2 O 0.2433 0.6707 0.9922 1
O3 O 0.2440 0.1019 0.2699 1
O4 O 0.3100 0.1798 0.7333 1
```

No. 2
LiFeSiO4: theoretical powder XRD pattern (Cu Kα (λ = 1.5418 Å)), based on a structure optimized by DFT (GGA+U).

The 12 most intense peaks (10 to 90 degrees two-theta), in order of rising 2θ:
12.7 deg, intensity 286, hkl 1 1 0
20.4 deg, intensity 328, hkl 0 1 2
21.7 deg, intensity 1000, hkl 3 -1 1
22.1 deg, intensity 256, hkl 3 0 0
25.6 deg, intensity 788, hkl 2 2 0
27.4 deg, intensity 200, hkl 1 2 2
31.5 deg, intensity 825, hkl 2 -1 3
34.0 deg, intensity 736, hkl 4 1 0
38.8 deg, intensity 252, hkl 2 2 3
49.0 deg, intensity 365, hkl 6 -3 3
65.7 deg, intensity 442, hkl 1 7 3
68.7 deg, intensity 173, hkl 9 -6 3

```
data_LiFeSiO4
_cell_length_a 13.9347
_cell_length_b 13.9347
_cell_length_c 9.3198
_cell_angle_alpha 90.00
_cell_angle_beta 90.00
_cell_angle_gamma 120.00
_symmetry_space_group_name_H-M 'R 3'
_symmetry_Int_Tables_number 146
_symmetry_space_group_name_Hall 'R 3'
loop_
_atom_site_label
_atom_site_type_symbol
_atom_site_fract_x
_atom_site_fract_y
_atom_site_fract_z
_atom_site_occupancy
Li1 Li 0.0163 0.8100 0.0000 1
Li2 Li 0.1430 0.4548 0.1641 1
Fe1 Fe 0.0191 0.8041 0.3320 1
Fe2 Fe 0.1388 0.4574 0.4984 1
Si1 Si 0.0133 0.8030 0.6663 1
Si2 Si 0.1373 0.4546 0.8330 1
O1 O 0.0035 0.6799 0.6667 1
O2 O 0.0137 0.3422 0.8339 1
O3 O 0.0739 0.8696 0.5166 1
O4 O 0.0801 0.8743 0.8090 1
O5 O 0.1042 0.8897 0.1748 1
O6 O 0.2023 0.4633 0.6813 1
O7 O 0.2094 0.4543 0.9732 1
O8 O 0.2177 0.1035 0.6730 1
```

Q: Number 2 is which compound?
A: LiFeSiO4